# CrPt6Rh2
Theoretical XRD peak list, Cu Kα X-rays. Input: the PBE geometry in Alexandria.
Lines closer than 0.1° are merged.

Principal peaks in the range 2θ from 10° to 90°, in order of rising 2θ:
2θ = 23.24°, intensity 19; 2θ = 40.49°, intensity 100; 2θ = 40.84°, intensity 95; 2θ = 58.87°, intensity 34; 2θ = 73.40°, intensity 13; 2θ = 74.13°, intensity 34; 2θ = 74.37°, intensity 16; 2θ = 82.91°, intensity 8; 2θ = 87.58°, intensity 9; 2θ = 88.51°, intensity 11

Crystal structure
```
9
Lattice="7.653 0.000 0.000 -3.827 6.628 0.000 0.000 0.000 2.740" Properties=species:S:1:pos:R:3 pbc="T T T"
Cr 0.000 0.000 0.000
Pt -1.255 2.174 0.594
Pt -2.571 4.454 2.147
Pt 2.511 0.000 0.594
Pt 1.255 2.174 2.147
Pt 5.143 0.000 2.147
Pt 2.571 4.454 0.594
Rh 0.000 4.419 1.370
Rh 3.827 2.209 1.370
```



# Cr2PtRh9
Theoretical XRD peak list, Cu Kα X-rays. Input: the PBE geometry in Alexandria.
Lines closer than 0.1° are merged.

Principal peaks in the range 2θ from 10° to 90°, in order of rising 2θ:
2θ = 40.76°, intensity 100; 2θ = 40.90°, intensity 99; 2θ = 47.45°, intensity 64; 2θ = 47.62°, intensity 32; 2θ = 69.17°, intensity 10; 2θ = 69.47°, intensity 30; 2θ = 69.56°, intensity 19; 2θ = 83.58°, intensity 18; 2θ = 83.84°, intensity 17; 2θ = 83.95°, intensity 23

Crystal structure
```
12
Lattice="4.683 0.000 0.000 1.568 5.861 0.000 0.012 2.483 6.130" Properties=species:S:1:pos:R:3 pbc="T T T"
Cr 0.793 1.629 0.505
Cr 5.470 6.715 5.625
Pt 0.006 1.241 3.065
Rh 1.561 4.598 4.151
Rh 2.329 5.003 1.485
Rh 1.578 2.080 5.129
Rh 2.323 2.498 2.523
Rh 3.126 2.931 0.000
Rh 3.941 5.846 3.607
Rh 4.685 6.263 1.001
Rh 3.934 3.341 4.645
Rh 4.702 3.746 1.979
```



# CrPt4Rh
Theoretical XRD peak list, Cu Kα X-rays. Input: the PBE geometry in Alexandria.
Lines closer than 0.1° are merged.

Principal peaks in the range 2θ from 10° to 90°, in order of rising 2θ:
2θ = 25.23°, intensity 20; 2θ = 39.84°, intensity 100; 2θ = 39.97°, intensity 99; 2θ = 46.30°, intensity 65; 2θ = 46.63°, intensity 32; 2θ = 67.80°, intensity 52; 2θ = 81.31°, intensity 25; 2θ = 81.58°, intensity 25; 2θ = 81.92°, intensity 25; 2θ = 85.90°, intensity 12

Crystal structure
```
12
Lattice="0.000 3.896 8.340 2.766 0.000 8.340 2.766 3.896 0.000" Properties=species:S:1:pos:R:3 pbc="T T T"
Cr 0.692 0.974 2.085
Cr 4.841 6.817 14.595
Pt 2.075 2.922 0.725
Pt 2.075 2.922 3.461
Pt 3.458 4.869 4.895
Pt 3.458 4.869 7.631
Pt 2.075 2.922 9.049
Pt 2.075 2.922 11.785
Pt 3.458 4.869 13.219
Pt 3.458 4.869 15.955
Rh 2.075 2.922 6.255
Rh 3.458 4.869 10.425
```



# Cr2PtRh6
Theoretical XRD peak list, Cu Kα X-rays. Input: the PBE geometry in Alexandria.
Lines closer than 0.1° are merged.

Principal peaks in the range 2θ from 10° to 90°, in order of rising 2θ:
2θ = 26.76°, intensity 6; 2θ = 40.86°, intensity 100; 2θ = 47.49°, intensity 32; 2θ = 47.64°, intensity 16; 2θ = 69.46°, intensity 20; 2θ = 69.57°, intensity 10; 2θ = 83.74°, intensity 12; 2θ = 83.87°, intensity 12; 2θ = 84.03°, intensity 12; 2θ = 88.55°, intensity 11

Crystal structure
```
9
Lattice="4.270 -1.916 0.000 4.270 1.916 0.000 -2.551 0.000 7.698" Properties=species:S:1:pos:R:3 pbc="T T T"
Cr 0.873 0.000 1.723
Cr 5.116 0.000 5.975
Pt 4.270 0.000 0.000
Rh -0.844 0.000 6.832
Rh 0.029 0.000 4.271
Rh 3.414 0.000 2.563
Rh 2.575 0.000 5.135
Rh 5.960 0.000 3.427
Rh 6.832 0.000 0.866
```



# Cr2Pt3Rh3
Theoretical XRD peak list, Cu Kα X-rays. Input: the PBE geometry in Alexandria.
Lines closer than 0.1° are merged.

Principal peaks in the range 2θ from 10° to 90°, in order of rising 2θ:
2θ = 23.03°, intensity 17; 2θ = 32.85°, intensity 15; 2θ = 40.50°, intensity 100; 2θ = 47.08°, intensity 32; 2θ = 47.18°, intensity 16; 2θ = 68.80°, intensity 21; 2θ = 68.89°, intensity 10; 2θ = 82.91°, intensity 12; 2θ = 83.08°, intensity 25; 2θ = 87.61°, intensity 11

Crystal structure
```
8
Lattice="3.857 0.000 0.000 0.000 3.864 0.000 0.000 0.000 7.706" Properties=species:S:1:pos:R:3 pbc="T T T"
Cr 0.000 0.000 1.898
Cr 0.000 0.000 5.808
Pt 0.000 1.932 3.853
Pt 1.928 1.932 1.904
Pt 1.928 1.932 5.802
Rh 0.000 1.932 0.000
Rh 1.928 0.000 0.000
Rh 1.928 0.000 3.853
```



# CrPt3Rh6
Theoretical XRD peak list, Cu Kα X-rays. Input: the PBE geometry in Alexandria.
Lines closer than 0.1° are merged.

Principal peaks in the range 2θ from 10° to 90°, in order of rising 2θ:
2θ = 12.96°, intensity 20; 2θ = 35.56°, intensity 11; 2θ = 38.00°, intensity 100; 2θ = 39.57°, intensity 32; 2θ = 44.63°, intensity 84; 2θ = 63.86°, intensity 20; 2θ = 66.04°, intensity 22; 2θ = 77.80°, intensity 18; 2θ = 79.81°, intensity 13; 2θ = 81.25°, intensity 11

Crystal structure
```
10
Lattice="5.049 0.000 0.000 -2.525 4.373 0.000 0.000 0.000 6.833" Properties=species:S:1:pos:R:3 pbc="T T T"
Cr 0.000 0.000 0.000
Pt 0.000 0.000 3.416
Pt 0.000 2.915 3.416
Pt 2.525 1.458 3.416
Rh -0.980 1.698 5.603
Rh -1.544 2.675 1.229
Rh 1.961 0.000 5.603
Rh 0.980 1.698 1.229
Rh 3.088 0.000 1.229
Rh 1.544 2.675 5.603
```



# Cr4PtRh3
Theoretical XRD peak list, Cu Kα X-rays. Input: the PBE geometry in Alexandria.
Lines closer than 0.1° are merged.

Principal peaks in the range 2θ from 10° to 90°, in order of rising 2θ:
2θ = 28.36°, intensity 34; 2θ = 33.41°, intensity 14; 2θ = 40.29°, intensity 27; 2θ = 40.50°, intensity 17; 2θ = 41.98°, intensity 45; 2θ = 44.38°, intensity 100; 2θ = 44.58°, intensity 40; 2θ = 70.62°, intensity 18; 2θ = 78.38°, intensity 18; 2θ = 85.69°, intensity 21

Crystal structure
```
16
Lattice="8.608 0.000 0.000 0.000 5.364 0.000 0.000 0.000 4.612" Properties=species:S:1:pos:R:3 pbc="T T T"
Cr 0.000 1.314 0.000
Cr 0.000 4.050 0.000
Cr 2.152 1.315 1.529
Cr 2.152 4.049 1.529
Cr 4.304 1.314 0.000
Cr 4.304 4.050 0.000
Cr 6.456 1.315 3.083
Cr 6.456 4.049 3.083
Pt 0.000 2.682 2.306
Pt 4.304 2.682 2.306
Rh 0.000 0.000 2.306
Rh 2.152 0.000 3.918
Rh 2.152 2.682 3.930
Rh 4.304 0.000 2.306
Rh 6.456 0.000 0.693
Rh 6.456 2.682 0.681
```



# ScCrPt
Theoretical XRD peak list, Cu Kα X-rays. Input: the PBE geometry in Alexandria.
Lines closer than 0.1° are merged.

Principal peaks in the range 2θ from 10° to 90°, in order of rising 2θ:
2θ = 19.53°, intensity 69; 2θ = 27.30°, intensity 48; 2θ = 28.35°, intensity 44; 2θ = 37.11°, intensity 100; 2θ = 39.33°, intensity 84; 2θ = 40.09°, intensity 79; 2θ = 42.28°, intensity 40; 2θ = 67.86°, intensity 32; 2θ = 69.43°, intensity 30; 2θ = 73.76°, intensity 24

Crystal structure
```
3
Lattice="-1.678 1.750 4.545 1.678 -1.750 4.545 1.678 1.750 -4.545" Properties=species:S:1:pos:R:3 pbc="T T T"
Sc 0.000 0.000 0.000
Cr 0.000 0.000 6.266
Pt 0.000 0.000 3.154
```



# ScCrPt4
Theoretical XRD peak list, Cu Kα X-rays. Input: the PBE geometry in Alexandria.
Lines closer than 0.1° are merged.

Principal peaks in the range 2θ from 10° to 90°, in order of rising 2θ:
2θ = 20.61°, intensity 85; 2θ = 40.06°, intensity 100; 2θ = 41.92°, intensity 85; 2θ = 48.79°, intensity 32; 2θ = 53.50°, intensity 22; 2θ = 64.90°, intensity 32; 2θ = 71.48°, intensity 33; 2θ = 75.31°, intensity 16; 2θ = 85.24°, intensity 11; 2θ = 86.46°, intensity 33

Crystal structure
```
6
Lattice="0.000 3.733 3.733 3.733 0.000 3.733 3.733 3.733 0.000" Properties=species:S:1:pos:R:3 pbc="T T T"
Sc 0.000 0.000 0.000
Cr 5.599 5.599 5.599
Pt 2.802 2.802 2.802
Pt 4.664 4.664 2.802
Pt 4.664 2.802 4.664
Pt 2.802 4.664 4.664
```



# CrPt4Se
Theoretical XRD peak list, Cu Kα X-rays. Input: the PBE geometry in Alexandria.
Lines closer than 0.1° are merged.

Principal peaks in the range 2θ from 10° to 90°, in order of rising 2θ:
2θ = 20.53°, intensity 65; 2θ = 39.90°, intensity 100; 2θ = 41.75°, intensity 76; 2θ = 48.59°, intensity 26; 2θ = 53.28°, intensity 17; 2θ = 64.62°, intensity 32; 2θ = 71.17°, intensity 32; 2θ = 74.97°, intensity 12; 2θ = 84.84°, intensity 12; 2θ = 86.05°, intensity 30

Crystal structure
```
6
Lattice="0.000 3.747 3.747 3.747 0.000 3.747 3.747 3.747 0.000" Properties=species:S:1:pos:R:3 pbc="T T T"
Cr 0.000 0.000 0.000
Pt 2.808 2.808 2.808
Pt 4.686 4.686 2.808
Pt 4.686 2.808 4.686
Pt 2.808 4.686 4.686
Se 5.621 5.621 5.621
```



# TaCr2Pt
Theoretical XRD peak list, Cu Kα X-rays. Input: the PBE geometry in Alexandria.
Lines closer than 0.1° are merged.

Principal peaks in the range 2θ from 10° to 90°, in order of rising 2θ:
2θ = 12.73°, intensity 32; 2θ = 33.73°, intensity 47; 2θ = 38.85°, intensity 16; 2θ = 40.71°, intensity 100; 2θ = 44.56°, intensity 43; 2θ = 60.57°, intensity 18; 2θ = 64.85°, intensity 14; 2θ = 71.38°, intensity 13; 2θ = 76.00°, intensity 13; 2θ = 79.45°, intensity 28

Crystal structure
```
4
Lattice="2.876 0.000 0.000 0.000 2.876 0.000 0.000 0.000 6.955" Properties=species:S:1:pos:R:3 pbc="T T T"
Ta 0.000 0.000 0.000
Cr 0.000 0.000 3.084
Cr 1.438 1.438 1.859
Pt 1.438 1.438 4.909
```



# Ta2CrPt
Theoretical XRD peak list, Cu Kα X-rays. Input: the PBE geometry in Alexandria.
Lines closer than 0.1° are merged.

Principal peaks in the range 2θ from 10° to 90°, in order of rising 2θ:
2θ = 24.89°, intensity 16; 2θ = 38.82°, intensity 100; 2θ = 39.97°, intensity 5; 2θ = 44.07°, intensity 18; 2θ = 45.66°, intensity 32; 2θ = 65.32°, intensity 22; 2θ = 66.55°, intensity 10; 2θ = 77.52°, intensity 13; 2θ = 79.80°, intensity 25; 2θ = 83.31°, intensity 11

Crystal structure
```
4
Lattice="-1.987 1.987 4.110 1.987 -1.987 4.110 1.987 1.987 -4.110" Properties=species:S:1:pos:R:3 pbc="T T T"
Ta 1.987 0.000 2.055
Ta 0.000 1.987 2.055
Cr 0.000 0.000 0.000
Pt 0.000 0.000 4.110
```



# Cr2TcPt9
Theoretical XRD peak list, Cu Kα X-rays. Input: the PBE geometry in Alexandria.
Lines closer than 0.1° are merged.

Principal peaks in the range 2θ from 10° to 90°, in order of rising 2θ:
2θ = 22.61°, intensity 11; 2θ = 32.19°, intensity 9; 2θ = 39.70°, intensity 100; 2θ = 46.17°, intensity 49; 2θ = 52.00°, intensity 5; 2θ = 57.40°, intensity 4; 2θ = 67.35°, intensity 32; 2θ = 81.03°, intensity 13; 2θ = 81.15°, intensity 26; 2θ = 85.55°, intensity 11

Crystal structure
```
12
Lattice="3.930 0.000 0.000 0.000 3.930 0.000 0.000 0.000 11.812" Properties=species:S:1:pos:R:3 pbc="T T T"
Cr 0.000 0.000 1.929
Cr 0.000 0.000 9.883
Tc 0.000 0.000 5.906
Pt 0.000 1.965 0.000
Pt 0.000 1.965 3.940
Pt 0.000 1.965 7.872
Pt 1.965 0.000 0.000
Pt 1.965 0.000 3.940
Pt 1.965 0.000 7.872
Pt 1.965 1.965 1.963
Pt 1.965 1.965 5.906
Pt 1.965 1.965 9.849
```



# VCrPt3
Theoretical XRD peak list, Cu Kα X-rays. Input: the PBE geometry in Alexandria.
Lines closer than 0.1° are merged.

Principal peaks in the range 2θ from 10° to 90°, in order of rising 2θ:
2θ = 24.12°, intensity 46; 2θ = 33.42°, intensity 21; 2θ = 39.98°, intensity 100; 2θ = 40.57°, intensity 98; 2θ = 46.51°, intensity 65; 2θ = 47.52°, intensity 31; 2θ = 57.32°, intensity 16; 2θ = 68.69°, intensity 51; 2θ = 81.40°, intensity 24; 2θ = 82.57°, intensity 25

Crystal structure
```
10
Lattice="2.351 -6.979 0.000 2.351 6.979 0.000 -1.527 0.000 4.447" Properties=species:S:1:pos:R:3 pbc="T T T"
V 1.206 4.945 3.335
V 1.969 -4.945 1.112
Cr 1.206 2.072 3.335
Cr 1.969 -2.072 1.112
Pt 1.969 6.202 1.112
Pt 1.969 3.480 1.112
Pt 1.969 0.778 1.112
Pt 1.206 -0.778 3.335
Pt 1.206 -3.480 3.335
Pt 1.206 -6.202 3.335
```